Entry 1:
# Pm4Dy2Y
Simulated powder X-ray diffraction pattern, a wavelength of 1.5418 Å. Input: the PBE geometry in Alexandria.

Atomic structure:
```
data_Pm4Dy2Y
_cell_length_a 11.975
_cell_length_b 24.242
_cell_length_c 6.477
_cell_angle_alpha 90.00
_cell_angle_beta 90.00
_cell_angle_gamma 90.00
_space_group_name_H-M_alt 'F d d 2'
_space_group_IT_number 43
_space_group_name_Hall 'F 2 -2d'
loop_
_atom_site_label
_atom_site_fract_x
_atom_site_fract_y
_atom_site_fract_z
Pm1 0.052 0.070 0.000
Pm2 0.068 0.144 0.530
Dy1 0.025 0.215 0.056
Y1 0.000 0.000 0.494
```

Top 8 peaks for 2θ = 10–90°, by angle:
- hkl 1 7 1, 30.2 deg, I = 100
- hkl 4 2 0, 30.8 deg, I = 37
- hkl 2 0 2, 31.4 deg, I = 62
- hkl 3 5 1, 32.2 deg, I = 37
- hkl 2 2 2, 32.3 deg, I = 28
- hkl 3 7 1, 37.1 deg, I = 25
- hkl 1 7 3, 50.4 deg, I = 20
- hkl 2 14 0, 55.2 deg, I = 20

Entry 2:
# Nd2Mg2Hg
Simulated powder X-ray diffraction pattern, a wavelength of 1.5418 Å. Input: the PBE geometry in Alexandria.

Atomic structure:
```
data_Nd2Mg2Hg
_cell_length_a 9.158
_cell_length_b 5.285
_cell_length_c 6.496
_cell_angle_alpha 90.00
_cell_angle_beta 117.90
_cell_angle_gamma 90.00
_space_group_name_H-M_alt 'C 1 2/m 1'
_space_group_IT_number 12
loop_
_space_group_symop_operation_xyz
'x,y,z'
'-x,-y,-z'
'-x,y,-z'
'x,-y,z'
'x+1/2,y+1/2,z'
'-x+1/2,-y+1/2,-z'
'-x+1/2,y+1/2,-z'
'x+1/2,-y+1/2,z'
loop_
_atom_site_label
_atom_site_fract_x
_atom_site_fract_y
_atom_site_fract_z
Nd1 0.100 0.000 0.300
Mg1 0.178 0.500 0.035
Hg1 0.000 0.500 0.500
```

Top 8 peaks for 2θ = 10–90°, by angle:
- hkl 0 0 1, 15.4 deg, I = 39
- hkl 2 0 0, 22.0 deg, I = 62
- hkl 2 0 1, 32.5 deg, I = 100
- hkl 0 2 0, 33.9 deg, I = 93
- hkl 0 2 1, 37.5 deg, I = 28
- hkl 2 2 1, 47.7 deg, I = 35
- hkl 1 1 3, 57.1 deg, I = 18
- hkl 4 2 -3, 59.8 deg, I = 23

Entry 3:
# HfFe3H3
Simulated powder X-ray diffraction pattern, a wavelength of 1.5418 Å. Input: the PBE geometry in Alexandria.

Atomic structure:
```
data_HfFe3H3
_cell_length_a 8.120
_cell_length_b 8.120
_cell_length_c 8.120
_cell_angle_alpha 90.00
_cell_angle_beta 90.00
_cell_angle_gamma 90.00
_space_group_name_H-M_alt 'F m -3 m'
_space_group_IT_number 225
_space_group_name_Hall '-F 4 2 3'
loop_
_atom_site_label
_atom_site_fract_x
_atom_site_fract_y
_atom_site_fract_z
Hf1 0.250 0.250 0.250
Fe1 0.000 0.000 0.200
H1 0.000 0.000 0.382
```

Top 8 peaks for 2θ = 10–90°, by angle:
- hkl 2 0 0, 21.9 deg, I = 31
- hkl 2 2 0, 31.2 deg, I = 51
- hkl 2 2 2, 38.4 deg, I = 100
- hkl 4 0 0, 44.6 deg, I = 47
- hkl 4 2 0, 50.3 deg, I = 30
- hkl 4 4 0, 65.0 deg, I = 22
- hkl 4 4 2, 69.5 deg, I = 19
- hkl 6 2 2, 78.1 deg, I = 23

Entry 4:
# Pm5RuRh4
Simulated powder X-ray diffraction pattern, a wavelength of 1.5418 Å. Input: the PBE geometry in Alexandria.

Atomic structure:
```
data_Pm5RuRh4
_cell_length_a 3.536
_cell_length_b 3.536
_cell_length_c 17.327
_cell_angle_alpha 90.00
_cell_angle_beta 90.00
_cell_angle_gamma 90.00
_space_group_name_H-M_alt 'P 4/m m m'
_space_group_IT_number 123
_space_group_name_Hall '-P 4 2'
loop_
_atom_site_label
_atom_site_fract_x
_atom_site_fract_y
_atom_site_fract_z
Pm1 0.000 0.000 0.000
Pm2 0.000 0.000 0.200
Pm3 0.000 0.000 0.401
Ru1 0.500 0.500 0.500
Rh1 0.500 0.500 0.100
Rh2 0.500 0.500 0.298
```

Top 8 peaks for 2θ = 10–90°, by angle:
- hkl 1 1 0, 35.9 deg, I = 52
- hkl 1 0 5, 36.3 deg, I = 100
- hkl 2 0 0, 51.7 deg, I = 18
- hkl 0 0 10, 52.8 deg, I = 8
- hkl 2 1 5, 64.8 deg, I = 36
- hkl 1 1 10, 65.5 deg, I = 17
- hkl 2 0 10, 77.1 deg, I = 11
- hkl 3 1 0, 87.2 deg, I = 8

Entry 5:
# Np3PSe2
Simulated powder X-ray diffraction pattern, a wavelength of 1.5418 Å. Input: the PBE geometry in Alexandria.

Atomic structure:
```
data_Np3PSe2
_cell_length_a 4.058
_cell_length_b 5.737
_cell_length_c 12.200
_cell_angle_alpha 90.00
_cell_angle_beta 90.00
_cell_angle_gamma 90.00
_space_group_name_H-M_alt 'I m m m'
_space_group_IT_number 71
_space_group_name_Hall '-I 2 2'
loop_
_atom_site_label
_atom_site_fract_x
_atom_site_fract_y
_atom_site_fract_z
Np1 0.000 0.000 0.000
Np2 0.000 0.000 0.342
P1 0.000 0.500 0.000
Se1 0.000 0.500 0.330
```

Top 8 peaks for 2θ = 10–90°, by angle:
- hkl 1 1 0, 26.9 deg, I = 61
- hkl 0 2 0, 31.2 deg, I = 100
- hkl 2 0 0, 44.6 deg, I = 75
- hkl 2 1 3, 52.9 deg, I = 25
- hkl 2 2 0, 55.4 deg, I = 26
- hkl 2 2 6, 73.8 deg, I = 16
- hkl 3 0 3, 73.8 deg, I = 17
- hkl 2 4 0, 82.3 deg, I = 17

Entry 6:
# La3TbSm8
Simulated powder X-ray diffraction pattern, a wavelength of 1.5418 Å. Input: the PBE geometry in Alexandria.

Atomic structure:
```
data_La3TbSm8
_cell_length_a 8.885
_cell_length_b 8.885
_cell_length_c 11.481
_cell_angle_alpha 90.00
_cell_angle_beta 90.00
_cell_angle_gamma 90.00
_space_group_name_H-M_alt 'I -4 2 m'
_space_group_IT_number 121
_space_group_name_Hall 'I -4 2'
loop_
_atom_site_label
_atom_site_fract_x
_atom_site_fract_y
_atom_site_fract_z
La1 0.000 0.000 0.000
La2 0.000 0.500 0.250
Tb1 0.000 0.000 0.500
Sm1 0.122 0.122 0.252
Sm2 0.248 0.248 0.505
```

Top 8 peaks for 2θ = 10–90°, by angle:
- hkl 2 1 1, 23.7 deg, I = 67
- hkl 2 0 2, 25.4 deg, I = 59
- hkl 2 2 0, 28.4 deg, I = 84
- hkl 0 0 4, 31.2 deg, I = 75
- hkl 2 2 2, 32.5 deg, I = 63
- hkl 3 1 2, 35.6 deg, I = 100
- hkl 2 2 4, 42.7 deg, I = 56
- hkl 4 0 2, 43.7 deg, I = 72

Entry 7:
# Er3AlTl
Simulated powder X-ray diffraction pattern, a wavelength of 1.5418 Å. Input: the PBE geometry in Alexandria.

Atomic structure:
```
data_Er3AlTl
_cell_length_a 7.9935
_cell_length_b 7.9935
_cell_length_c 5.1331
_cell_angle_alpha 90.00
_cell_angle_beta 90.00
_cell_angle_gamma 120.00
_space_group_name_H-M_alt 'P 63/m m c'
_space_group_IT_number 194
_space_group_name_Hall '-P 6c 2c'
loop_
_atom_site_label
_atom_site_fract_x
_atom_site_fract_y
_atom_site_fract_z
Er1 0.1913 0.3825 0.2500
Al1 0.0000 0.0000 0.0000
Tl1 0.3333 0.6667 0.7500
```

Top 8 peaks for 2θ = 10–90°, by angle:
- hkl 2 0 0, 25.7 deg, I = 23
- hkl 2 0 1, 31.2 deg, I = 100
- hkl 0 0 2, 35.0 deg, I = 18
- hkl 2 0 2, 43.9 deg, I = 16
- hkl 2 2 0, 45.4 deg, I = 20
- hkl 4 0 1, 56.1 deg, I = 14
- hkl 2 2 2, 58.5 deg, I = 16
- hkl 2 0 3, 60.3 deg, I = 15

Entry 8:
# PaB2IO8
Simulated powder X-ray diffraction pattern, a wavelength of 1.5418 Å. Input: the PBE geometry in Alexandria.

Atomic structure:
```
data_PaB2IO8
_cell_length_a 9.217
_cell_length_b 5.356
_cell_length_c 5.412
_cell_angle_alpha 90.00
_cell_angle_beta 109.04
_cell_angle_gamma 90.00
_space_group_name_H-M_alt 'C 1 2/m 1'
_space_group_IT_number 12
loop_
_space_group_symop_operation_xyz
'x,y,z'
'-x,-y,-z'
'-x,y,-z'
'x,-y,z'
'x+1/2,y+1/2,z'
'-x+1/2,-y+1/2,-z'
'-x+1/2,y+1/2,-z'
'x+1/2,-y+1/2,z'
loop_
_atom_site_label
_atom_site_fract_x
_atom_site_fract_y
_atom_site_fract_z
Pa1 0.000 0.000 0.000
B1 0.203 0.000 0.654
I1 0.000 0.500 0.500
O1 0.127 0.500 0.234
O2 0.134 0.218 0.759
O3 0.152 0.000 0.372
```

Top 8 peaks for 2θ = 10–90°, by angle:
- hkl 2 0 0, 20.4 deg, I = 78
- hkl 1 1 -1, 23.8 deg, I = 100
- hkl 1 1 1, 28.3 deg, I = 93
- hkl 0 2 0, 33.5 deg, I = 32
- hkl 3 1 -1, 34.4 deg, I = 83
- hkl 2 2 0, 39.5 deg, I = 33
- hkl 3 1 1, 43.9 deg, I = 34
- hkl 4 2 0, 54.3 deg, I = 29

Entry 9:
# SrCu2Te2Cl2O6
Simulated powder X-ray diffraction pattern, a wavelength of 1.5418 Å. Input: the PBE geometry in Alexandria.

Atomic structure:
```
data_SrCu2Te2Cl2O6
_cell_length_a 7.305
_cell_length_b 7.393
_cell_length_c 8.382
_cell_angle_alpha 90.00
_cell_angle_beta 96.73
_cell_angle_gamma 90.00
_space_group_name_H-M_alt 'P 1 21 1'
_space_group_IT_number 4
loop_
_space_group_symop_operation_xyz
'x,y,z'
'-x,y+1/2,-z'
loop_
_atom_site_label
_atom_site_fract_x
_atom_site_fract_y
_atom_site_fract_z
Sr1 0.125 0.000 0.058
Cu1 0.318 0.992 0.586
Cu2 0.361 0.510 0.087
Te1 0.132 0.644 0.386
Te2 0.351 0.370 0.767
Cl1 0.099 0.750 0.768
Cl2 0.454 0.279 0.383
O1 0.128 0.179 0.624
O2 0.142 0.627 0.159
O3 0.192 0.895 0.385
O4 0.203 0.342 0.943
O5 0.460 0.132 0.757
O6 0.462 0.951 0.066
```

Top 8 peaks for 2θ = 10–90°, by angle:
- hkl 0 1 1, 16.0 deg, I = 100
- hkl 1 1 -2, 26.4 deg, I = 93
- hkl 2 1 0, 27.4 deg, I = 85
- hkl 2 1 -1, 28.4 deg, I = 62
- hkl 1 1 2, 28.6 deg, I = 63
- hkl 2 1 1, 30.5 deg, I = 65
- hkl 1 0 -3, 33.2 deg, I = 59
- hkl 1 1 3, 38.1 deg, I = 62

Entry 10:
# SiHAu2I
Simulated powder X-ray diffraction pattern, a wavelength of 1.5418 Å. Input: the PBE geometry in Alexandria.

Atomic structure:
```
data_SiHAu2I
_cell_length_a 3.889
_cell_length_b 4.075
_cell_length_c 7.497
_cell_angle_alpha 96.94
_cell_angle_beta 91.05
_cell_angle_gamma 105.89
_space_group_name_H-M_alt 'P 1'
_space_group_IT_number 1
loop_
_space_group_symop_operation_xyz
'x,y,z'
loop_
_atom_site_label
_atom_site_fract_x
_atom_site_fract_y
_atom_site_fract_z
Si1 0.000 0.000 0.000
H1 0.971 0.109 0.197
Au1 0.358 0.599 0.932
Au2 0.716 0.161 0.742
I1 0.644 0.563 0.483
```

Top 8 peaks for 2θ = 10–90°, by angle:
- hkl 0 0 1, 11.9 deg, I = 100
- hkl 1 0 0, 23.8 deg, I = 18
- hkl 1 0 1, 27.3 deg, I = 32
- hkl 0 1 -2, 31.1 deg, I = 35
- hkl -1 1 1, 31.4 deg, I = 28
- hkl 0 1 2, 35.6 deg, I = 19
- hkl -1 1 2, 38.4 deg, I = 18
- hkl 1 0 3, 45.0 deg, I = 19

Entry 11:
# Pm5Nd2In
Simulated powder X-ray diffraction pattern, a wavelength of 1.5418 Å. Input: the PBE geometry in Alexandria.

Atomic structure:
```
data_Pm5Nd2In
_cell_length_a 5.010
_cell_length_b 5.010
_cell_length_c 20.821
_cell_angle_alpha 90.00
_cell_angle_beta 90.00
_cell_angle_gamma 90.00
_space_group_name_H-M_alt 'I 4/m m m'
_space_group_IT_number 139
_space_group_name_Hall '-I 4 2'
loop_
_atom_site_label
_atom_site_fract_x
_atom_site_fract_y
_atom_site_fract_z
Pm1 0.000 0.000 0.000
Pm2 0.000 0.500 0.120
Nd1 0.000 0.000 0.247
In1 0.000 0.000 0.500
```

Top 8 peaks for 2θ = 10–90°, by angle:
- hkl 1 1 4, 30.5 deg, I = 100
- hkl 0 0 8, 34.5 deg, I = 18
- hkl 2 0 0, 35.8 deg, I = 33
- hkl 2 0 8, 50.6 deg, I = 24
- hkl 2 2 0, 51.6 deg, I = 12
- hkl 1 1 12, 59.3 deg, I = 14
- hkl 3 1 4, 61.1 deg, I = 27
- hkl 2 2 8, 63.5 deg, I = 12

Entry 12:
# Na2In3F8
Simulated powder X-ray diffraction pattern, a wavelength of 1.5418 Å. Input: the PBE geometry in Alexandria.

Atomic structure:
```
data_Na2In3F8
_cell_length_a 12.542
_cell_length_b 5.868
_cell_length_c 10.769
_cell_angle_alpha 90.00
_cell_angle_beta 100.47
_cell_angle_gamma 90.00
_space_group_name_H-M_alt 'C 1 2/c 1'
_space_group_IT_number 15
loop_
_space_group_symop_operation_xyz
'x,y,z'
'-x,-y,-z'
'-x,y,-z+1/2'
'x,-y,z+1/2'
'x+1/2,y+1/2,z'
'-x+1/2,-y+1/2,-z'
'-x+1/2,y+1/2,-z+1/2'
'x+1/2,-y+1/2,z+1/2'
loop_
_atom_site_label
_atom_site_fract_x
_atom_site_fract_y
_atom_site_fract_z
Na1 0.218 0.231 0.347
In1 0.000 0.281 0.750
In2 0.109 0.196 0.030
F1 0.059 0.149 0.442
F2 0.117 0.447 0.180
F3 0.147 0.021 0.694
F4 0.232 0.463 0.989
```

Top 8 peaks for 2θ = 10–90°, by angle:
- hkl 0 0 2, 16.7 deg, I = 20
- hkl 1 1 -1, 18.1 deg, I = 61
- hkl 3 1 -1, 26.6 deg, I = 100
- hkl 1 1 3, 31.5 deg, I = 88
- hkl 0 0 4, 33.8 deg, I = 30
- hkl 6 0 -2, 44.3 deg, I = 28
- hkl 2 2 -4, 46.6 deg, I = 28
- hkl 4 2 2, 48.1 deg, I = 27

Entry 13:
# SmDy4Al2
Simulated powder X-ray diffraction pattern, a wavelength of 1.5418 Å. Input: the PBE geometry in Alexandria.

Atomic structure:
```
data_SmDy4Al2
_cell_length_a 6.756
_cell_length_b 10.428
_cell_length_c 11.523
_cell_angle_alpha 90.00
_cell_angle_beta 90.00
_cell_angle_gamma 90.00
_space_group_name_H-M_alt 'F m m m'
_space_group_IT_number 69
_space_group_name_Hall '-F 2 2'
loop_
_atom_site_label
_atom_site_fract_x
_atom_site_fract_y
_atom_site_fract_z
Sm1 0.000 0.000 0.000
Dy1 0.000 0.161 0.500
Dy2 0.250 0.250 0.250
Al1 0.000 0.000 0.273
```

Top 8 peaks for 2θ = 10–90°, by angle:
- hkl 0 2 2, 23.0 deg, I = 29
- hkl 1 3 1, 29.9 deg, I = 83
- hkl 2 0 2, 30.7 deg, I = 100
- hkl 0 0 4, 31.0 deg, I = 62
- hkl 2 2 0, 31.6 deg, I = 25
- hkl 2 2 2, 35.3 deg, I = 33
- hkl 1 3 3, 37.3 deg, I = 52
- hkl 2 6 0, 59.8 deg, I = 28